The following is a simulated X-ray powder pattern of K3NaAg. It was derived from the GGA-PBE geometry in Alexandria, using Cu Kα.
Neutral-atom scattering factors, no anomalous dispersion.

Top 6 peaks for 2θ = 10–90°, low angle first:
d/Å, 2θ/deg, I/Imax
6.986, 12.67, 751
4.783, 18.55, 690
3.436, 25.93, 1000
3.337, 26.72, 668
2.740, 32.68, 471
2.663, 33.66, 650

a = 13.972 Å, b = 13.972 Å, c = 5.090 Å
α = 90.00°, β = 90.00°, γ = 90.00°
Space group P4_2/mnm (No. 136)
Asymmetric unit:
1 K 0.019 0.320 0.000 x8
2 K 0.107 0.893 0.500 x4
3 Na 0.176 0.176 0.500 x4
4 Ag 0.072 0.072 0.000 x4


The following is a simulated X-ray powder pattern of CuSnIrO6. It was derived from the GGA-PBE geometry in Alexandria, using Cu Kα.
Neutral-atom scattering factors, no anomalous dispersion.

Top 6 peaks for 2θ = 10–90°, low angle first:
d/Å, 2θ/deg, I/Imax
4.339, 20.47, 421
3.143, 28.40, 1000
2.631, 34.07, 673
2.250, 40.08, 514
2.018, 44.93, 288
1.674, 54.85, 563

a = 5.2629 Å, b = 5.2629 Å, c = 8.6776 Å
α = 90.00°, β = 90.00°, γ = 120.00°
Space group P-31c (No. 163)
Asymmetric unit:
1 Cu 0.0000 0.0000 0.0000 x2
2 Sn 0.3333 0.6667 0.2500 x2
3 Ir 0.3333 0.6667 0.7500 x2
4 O 0.0203 0.3611 0.6256 x12


The following is a simulated X-ray powder pattern of Zr10NiSnSb4. It was derived from the GGA-PBE geometry in Alexandria, using Cu Kα.
Neutral-atom scattering factors, no anomalous dispersion.

Top 6 peaks for 2θ = 10–90°, low angle first:
d/Å, 2θ/deg, I/Imax
2.710, 33.05, 369
2.504, 35.86, 465
2.487, 36.12, 418
2.439, 36.84, 1000
2.273, 39.66, 261
1.529, 60.55, 226

a = 11.198 Å, b = 11.198 Å, c = 5.551 Å
α = 90.00°, β = 90.00°, γ = 90.00°
Space group I422 (No. 97)
Asymmetric unit:
1 Zr 0.000 0.500 0.000 x4
2 Zr 0.076 0.216 0.258 x16
3 Ni 0.000 0.000 0.500 x2
4 Sn 0.000 0.000 0.000 x2
5 Sb 0.164 0.336 0.750 x8